[1]
Computed powder diffractogram of Tb7Sm4Th for a wavelength of 1.5418 Å, from a DFT-relaxed cell (GGA-PBE, Alexandria).
Intensities are scaled so that the largest is 100.

The 10 most intense peaks (5 to 70 degrees two-theta), in order of falling intensity:
2θ 30.5, rel. 100; 2θ 35.4, rel. 51; 2θ 60.5, rel. 29; 2θ 50.9, rel. 18; 2θ 51.0, rel. 18; 2θ 60.7, rel. 11; 2θ 63.5, rel. 9; 2θ 60.5, rel. 4; 2θ 63.7, rel. 3; 2θ 11.6, rel. 1

Lattice parameters (Å, degrees): 7.159 8.016 8.018 95.85 116.50 102.73
Positions (direct):
Tb (0.000, 0.000, 0.000)
Tb (0.252, 0.000, 0.505)
Tb (0.254, 0.329, 0.836)
Tb (0.500, 0.330, 0.330)
Tb (0.500, 0.670, 0.670)
Tb (0.746, 0.671, 0.164)
Tb (0.748, 0.000, 0.495)
Sm (0.006, 0.669, 0.671)
Sm (0.254, 0.671, 0.166)
Sm (0.746, 0.329, 0.834)
Sm (0.994, 0.331, 0.329)
Th (0.500, 0.000, 0.000)

=====

[2]
Computed powder diffractogram of Zr2ScSb for a wavelength of 1.5418 Å, from a DFT-relaxed cell (GGA-PBE, Alexandria).
Intensities are scaled so that the largest is 100.

The 10 most intense peaks (5 to 70 degrees two-theta), in order of falling intensity:
2θ 35.0, rel. 100; 2θ 42.1, rel. 29; 2θ 57.6, rel. 23; 2θ 37.5, rel. 21; 2θ 66.0, rel. 15; 2θ 61.1, rel. 9; 2θ 20.7, rel. 9; 2θ 27.9, rel. 8; 2θ 51.3, rel. 3; 2θ 61.9, rel. 3

Lattice parameters (Å, degrees): 4.292 4.292 4.797 90.00 90.00 90.00
Positions (direct):
Zr (0.000, 0.500, 0.000)
Zr (0.500, 0.000, 0.000)
Sc (0.000, 0.000, 0.500)
Sb (0.500, 0.500, 0.500)

=====

[3]
Computed powder diffractogram of Mg2InPd3 for a wavelength of 1.5418 Å, from a DFT-relaxed cell (GGA-PBE, Alexandria).
Intensities are scaled so that the largest is 100.

The 10 most intense peaks (5 to 70 degrees two-theta), in order of falling intensity:
2θ 39.5, rel. 100; 2θ 39.6, rel. 95; 2θ 27.7, rel. 36; 2θ 57.2, rel. 33; 2θ 22.6, rel. 14; 2θ 15.8, rel. 8; 2θ 49.0, rel. 7; 2θ 64.8, rel. 6; 2θ 64.6, rel. 4; 2θ 42.9, rel. 4

Lattice parameters (Å, degrees): 4.550 4.550 5.596 90.00 90.00 120.00
Positions (direct):
Mg (0.333, 0.667, 0.166)
Mg (0.667, 0.333, 0.834)
In (0.000, 0.000, 0.500)
Pd (0.000, 0.000, 0.000)
Pd (0.333, 0.667, 0.676)
Pd (0.667, 0.333, 0.324)

=====

[4]
Computed powder diffractogram of Hf3Pt2Au4 for a wavelength of 1.5418 Å, from a DFT-relaxed cell (GGA-PBE, Alexandria).
Intensities are scaled so that the largest is 100.

The 10 most intense peaks (5 to 70 degrees two-theta), in order of falling intensity:
2θ 37.1, rel. 100; 2θ 40.0, rel. 81; 2θ 45.0, rel. 58; 2θ 35.2, rel. 56; 2θ 58.4, rel. 26; 2θ 65.1, rel. 20; 2θ 66.4, rel. 18; 2θ 67.6, rel. 17; 2θ 27.1, rel. 1; 2θ 39.8, rel. 1

Lattice parameters (Å, degrees): 8.356 8.356 4.997 98.34 98.34 75.18
Positions (direct):
Hf (0.114, 0.886, 0.750)
Hf (0.200, 0.465, 0.922)
Hf (0.465, 0.200, 0.422)
Hf (0.535, 0.800, 0.578)
Hf (0.800, 0.535, 0.078)
Hf (0.886, 0.114, 0.250)
Pt (0.017, 0.760, 0.183)
Pt (0.240, 0.983, 0.317)
Pt (0.760, 0.017, 0.683)
Pt (0.983, 0.240, 0.817)
Au (0.103, 0.341, 0.370)
Au (0.315, 0.571, 0.476)
Au (0.341, 0.103, 0.870)
Au (0.429, 0.685, 0.024)
Au (0.571, 0.315, 0.976)
Au (0.659, 0.897, 0.130)
Au (0.685, 0.429, 0.524)
Au (0.897, 0.659, 0.630)

=====

[5]
Computed powder diffractogram of Ho5Tc for a wavelength of 1.5418 Å, from a DFT-relaxed cell (GGA-PBE, Alexandria).
Intensities are scaled so that the largest is 100.

The 10 most intense peaks (5 to 70 degrees two-theta), in order of falling intensity:
2θ 34.7, rel. 100; 2θ 33.1, rel. 98; 2θ 32.5, rel. 82; 2θ 31.7, rel. 42; 2θ 62.1, rel. 32; 2θ 61.6, rel. 24; 2θ 49.9, rel. 23; 2θ 51.4, rel. 20; 2θ 29.5, rel. 20; 2θ 27.5, rel. 18

Lattice parameters (Å, degrees): 12.119 3.557 8.321 90.00 111.55 90.00
Positions (direct):
Ho (0.000, 0.000, 0.000)
Ho (0.133, 0.500, 0.367)
Ho (0.161, 0.500, 0.782)
Ho (0.339, 0.000, 0.218)
Ho (0.367, 0.000, 0.633)
Ho (0.500, 0.500, 0.000)
Ho (0.633, 0.000, 0.367)
Ho (0.661, 0.000, 0.782)
Ho (0.839, 0.500, 0.218)
Ho (0.867, 0.500, 0.633)
Tc (0.000, 0.000, 0.500)
Tc (0.500, 0.500, 0.500)

=====

[6]
Computed powder diffractogram of K2HfU3O12 for a wavelength of 1.5418 Å, from a DFT-relaxed cell (GGA-PBE, Alexandria).
Intensities are scaled so that the largest is 100.

The 10 most intense peaks (5 to 70 degrees two-theta), in order of falling intensity:
2θ 13.7, rel. 100; 2θ 27.6, rel. 77; 2θ 26.6, rel. 61; 2θ 26.3, rel. 39; 2θ 14.3, rel. 38; 2θ 32.3, rel. 34; 2θ 54.8, rel. 30; 2θ 45.5, rel. 30; 2θ 28.8, rel. 29; 2θ 47.1, rel. 22

Lattice parameters (Å, degrees): 7.723 7.723 7.723 62.11 62.11 62.11
Positions (direct):
K (0.162, 0.162, 0.162)
K (0.838, 0.838, 0.838)
Hf (0.500, 0.500, 0.500)
U (0.000, 0.500, 0.500)
U (0.500, 0.000, 0.500)
U (0.500, 0.500, 0.000)
O (0.184, 0.184, 0.555)
O (0.184, 0.555, 0.184)
O (0.187, 0.563, 0.563)
O (0.437, 0.437, 0.813)
O (0.437, 0.813, 0.437)
O (0.445, 0.816, 0.816)
O (0.555, 0.184, 0.184)
O (0.563, 0.187, 0.563)
O (0.563, 0.563, 0.187)
O (0.813, 0.437, 0.437)
O (0.816, 0.445, 0.816)
O (0.816, 0.816, 0.445)

=====

[7]
Computed powder diffractogram of NaTmHg6 for a wavelength of 1.5418 Å, from a DFT-relaxed cell (GGA-PBE, Alexandria).
Intensities are scaled so that the largest is 100.

The 10 most intense peaks (5 to 70 degrees two-theta), in order of falling intensity:
2θ 33.7, rel. 100; 2θ 39.3, rel. 33; 2θ 67.8, rel. 27; 2θ 56.4, rel. 23; 2θ 38.7, rel. 17; 2θ 66.8, rel. 14; 2θ 56.9, rel. 11; 2θ 9.5, rel. 6; 2θ 19.4, rel. 4; 2θ 27.3, rel. 4

Lattice parameters (Å, degrees): 4.580 4.580 9.314 90.00 90.00 90.00
Positions (direct):
Na (0.000, 0.000, 0.000)
Tm (0.000, 0.000, 0.500)
Hg (0.000, 0.500, 0.252)
Hg (0.000, 0.500, 0.748)
Hg (0.500, 0.000, 0.252)
Hg (0.500, 0.000, 0.748)
Hg (0.500, 0.500, 0.000)
Hg (0.500, 0.500, 0.500)